# 1
Ti3Co2: calculated PXRD pattern (Cu Kα (weighted mean of Kα1 and Kα2)), based on the GGA-PBE geometry in Alexandria.
Neutral-atom scattering factors, no anomalous dispersion.

Principal peaks in the range 2θ = 10–90°, by intensity:
d 2.160, 2θ 41.8, intensity 100, (1 0 5); d 2.107, 2θ 42.9, intensity 54, (1 1 0); d 1.226, 2θ 77.9, intensity 27, (2 1 5); d 1.490, 2θ 62.3, intensity 16, (2 0 0); d 1.964, 2θ 46.2, intensity 11, (1 0 6); d 1.258, 2θ 75.6, intensity 9, (1 1 10)

Structure:
abc: 2.9800 2.9800 15.6734
angles: 90.00 90.00 90.00
Space group P4/mmm (No. 123)
Symmetry-distinct sites (fractional):
Ti: 0.0000 0.0000 0.0000 x1
Ti: 0.0000 0.0000 0.1908 x2
Ti: 0.0000 0.0000 0.3797 x2
Ti: 0.5000 0.5000 0.5000 x1
Co: 0.5000 0.5000 0.0960 x2
Co: 0.5000 0.5000 0.2827 x2


# 2
TiVCo: calculated PXRD pattern (Cu Kα (weighted mean of Kα1 and Kα2)), based on the GGA-PBE geometry in Alexandria.
Neutral-atom scattering factors, no anomalous dispersion.

Principal peaks in the range 2θ = 10–90°, by intensity:
d 2.138, 2θ 42.3, intensity 100, (1 0 3); d 2.066, 2θ 43.8, intensity 46, (1 1 0); d 1.206, 2θ 79.4, intensity 26, (2 1 3); d 1.250, 2θ 76.2, intensity 14, (1 1 6); d 1.461, 2θ 63.7, intensity 13, (2 0 0); d 1.569, 2θ 58.9, intensity 8, (0 0 6)

Structure:
abc: 2.9218 2.9218 9.4149
angles: 90.00 90.00 90.00
Space group I4mm (No. 107)
Symmetry-distinct sites (fractional):
Ti: 0.0000 0.0000 0.0000 x2
V: 0.0000 0.0000 0.6812 x2
Co: 0.0000 0.0000 0.3311 x2


# 3
Ti2V2Co3: calculated PXRD pattern (Cu Kα (weighted mean of Kα1 and Kα2)), based on the GGA-PBE geometry in Alexandria.
Neutral-atom scattering factors, no anomalous dispersion.

Principal peaks in the range 2θ = 10–90°, by intensity:
d 2.145, 2θ 42.1, intensity 100, (1 7 0); d 1.940, 2θ 46.8, intensity 68, (1 1 1); d 2.032, 2θ 44.6, intensity 59, (0 8 1); d 2.272, 2θ 39.7, intensity 32, (0 6 1); d 1.237, 2θ 77.1, intensity 26, (1 15 1); d 1.160, 2θ 83.3, intensity 23, (1 7 2)

Structure:
abc: 2.7464 24.0447 2.7581
angles: 90.00 90.00 90.00
Space group Cmmm (No. 65)
Symmetry-distinct sites (fractional):
Ti: 0.0000 0.0690 0.0000 x4
V: 0.0000 0.2055 0.0000 x4
Co: 0.0000 0.3616 0.5000 x4
Co: 0.0000 0.5000 0.5000 x2


# 4
TiVCo3: calculated PXRD pattern (Cu Kα (weighted mean of Kα1 and Kα2)), based on the GGA-PBE geometry in Alexandria.
Neutral-atom scattering factors, no anomalous dispersion.

Principal peaks in the range 2θ = 10–90°, by intensity:
d 2.142, 2θ 42.2, intensity 100, (2 0 1); d 1.749, 2θ 52.3, intensity 38, (2 0 2); d 2.624, 2θ 34.2, intensity 31, (0 0 2); d 1.402, 2θ 66.7, intensity 23, (2 0 3); d 1.774, 2θ 51.5, intensity 22, (2 1 0); d 2.290, 2θ 39.3, intensity 22, (1 0 2)

Structure:
abc: 5.4187 5.4187 5.2482
angles: 90.00 90.00 120.00
Space group P6_3/mmc (No. 194)
Symmetry-distinct sites (fractional):
Ti: 0.3333 0.6667 0.2500 x2
V: 0.0000 0.0000 0.0000 x2
Co: 0.1934 0.3868 0.7500 x6


# 5
Ti4CoW2: calculated PXRD pattern (Cu Kα (weighted mean of Kα1 and Kα2)), based on the GGA-PBE geometry in Alexandria.
Neutral-atom scattering factors, no anomalous dispersion.

Principal peaks in the range 2θ = 10–90°, by intensity:
d 3.093, 2θ 28.9, intensity 100, (1 1 0); d 2.187, 2θ 41.3, intensity 79, (2 0 0); d 2.232, 2θ 40.4, intensity 78, (1 0 5); d 2.239, 2θ 40.3, intensity 73, (1 1 4); d 4.146, 2θ 21.4, intensity 56, (1 0 1); d 3.076, 2θ 29.0, intensity 52, (1 0 3)

Structure:
abc: 4.3747 4.3747 12.9792
angles: 90.00 90.00 90.00
Space group I4/mmm (No. 139)
Symmetry-distinct sites (fractional):
Ti: 0.0000 0.0000 0.1851 x4
Ti: 0.0000 0.5000 0.0000 x4
Co: 0.0000 0.0000 0.0000 x2
W: 0.0000 0.0000 0.3769 x4


# 6
Ti3Zn3Co: calculated PXRD pattern (Cu Kα (weighted mean of Kα1 and Kα2)), based on the GGA-PBE geometry in Alexandria.
Neutral-atom scattering factors, no anomalous dispersion.

Principal peaks in the range 2θ = 10–90°, by intensity:
d 2.128, 2θ 42.5, intensity 100, (4 4 0); d 2.317, 2θ 38.9, intensity 91, (3 3 3); d 2.457, 2θ 36.6, intensity 23, (4 2 2); d 1.815, 2θ 50.3, intensity 20, (6 2 2); d 1.419, 2θ 65.8, intensity 19, (6 6 0); d 3.010, 2θ 29.7, intensity 18, (4 0 0)

Structure:
abc: 12.0382 12.0382 12.0382
angles: 90.00 90.00 90.00
Space group Fd-3m (No. 227, origin choice 2)
Symmetry-distinct sites (fractional):
Ti: 0.0826 0.3750 0.3750 x48
Zn: 0.0000 0.0000 0.5000 x16
Zn: 0.0370 0.0370 0.7130 x32
Co: 0.0000 0.0000 0.0000 x16


# 7
Ti7Zn2Co: calculated PXRD pattern (Cu Kα (weighted mean of Kα1 and Kα2)), based on the GGA-PBE geometry in Alexandria.
Neutral-atom scattering factors, no anomalous dispersion.

Principal peaks in the range 2θ = 10–90°, by intensity:
d 2.282, 2θ 39.5, intensity 100, (4 0 0); d 2.635, 2θ 34.0, intensity 72, (2 2 2); d 1.614, 2θ 57.1, intensity 62, (4 4 0); d 3.227, 2θ 27.6, intensity 46, (2 2 0); d 1.376, 2θ 68.1, intensity 24, (6 2 2); d 1.318, 2θ 71.6, intensity 20, (4 4 4)

Structure:
abc: 9.1286 9.1286 9.1286
angles: 90.00 90.00 90.00
Space group Fm-3m (No. 225)
Symmetry-distinct sites (fractional):
Ti: 0.0000 0.0000 0.0000 x4
Ti: 0.0000 0.0000 0.2556 x24
Zn: 0.2500 0.2500 0.2500 x8
Co: 0.0000 0.0000 0.5000 x4


# 8
TiZn5Co6: calculated PXRD pattern (Cu Kα (weighted mean of Kα1 and Kα2)), based on the GGA-PBE geometry in Alexandria.
Neutral-atom scattering factors, no anomalous dispersion.

Principal peaks in the range 2θ = 10–90°, by intensity:
d 2.041, 2θ 44.4, intensity 100, (1 3 2); d 2.035, 2θ 44.5, intensity 49, (2 0 0); d 1.176, 2θ 81.9, intensity 29, (3 3 2); d 1.439, 2θ 64.8, intensity 15, (2 6 0); d 1.180, 2θ 81.6, intensity 15, (2 0 4); d 1.448, 2θ 64.3, intensity 8, (0 0 4)

Structure:
abc: 4.0717 12.2009 5.7922
angles: 90.00 90.00 90.00
Space group Cmmm (No. 65)
Symmetry-distinct sites (fractional):
Ti: 0.0000 0.0000 0.0000 x2
Zn: 0.0000 0.0000 0.5000 x2
Zn: 0.0000 0.3334 0.0000 x4
Zn: 0.0000 0.3335 0.5000 x4
Co: 0.0000 0.1663 0.2494 x8
Co: 0.0000 0.5000 0.2505 x4


# 9
TiZn3Co4: calculated PXRD pattern (Cu Kα (weighted mean of Kα1 and Kα2)), based on the GGA-PBE geometry in Alexandria.
Neutral-atom scattering factors, no anomalous dispersion.

Principal peaks in the range 2θ = 10–90°, by intensity:
d 2.041, 2θ 44.4, intensity 100, (2 0 0); d 1.178, 2θ 81.7, intensity 19, (3 1 4); d 1.442, 2θ 64.6, intensity 10, (2 2 0); d 1.180, 2θ 81.6, intensity 10, (2 0 8); d 1.446, 2θ 64.4, intensity 5, (0 0 8); d 3.847, 2θ 23.1, intensity 1, (1 0 1)

Structure:
abc: 4.0794 4.0794 11.5685
angles: 90.00 90.00 90.00
Space group I4/mmm (No. 139)
Symmetry-distinct sites (fractional):
Ti: 0.0000 0.0000 0.0000 x2
Zn: 0.0000 0.0000 0.2508 x4
Zn: 0.0000 0.0000 0.5000 x2
Co: 0.0000 0.5000 0.1264 x8


# 10
Tl4Co: calculated PXRD pattern (Cu Kα (weighted mean of Kα1 and Kα2)), based on the GGA-PBE geometry in Alexandria.
Neutral-atom scattering factors, no anomalous dispersion.

Principal peaks in the range 2θ = 10–90°, by intensity:
d 2.618, 2θ 34.2, intensity 100, (1 1 2); d 3.113, 2θ 28.7, intensity 81, (2 0 0); d 2.560, 2θ 35.1, intensity 53, (2 1 1); d 1.527, 2θ 60.7, intensity 46, (1 1 4); d 2.250, 2θ 40.1, intensity 40, (2 0 2); d 2.784, 2θ 32.2, intensity 38, (2 1 0)

Structure:
abc: 6.2254 6.2254 6.5142
angles: 90.00 90.00 90.00
Space group P-42_1c (No. 114)
Symmetry-distinct sites (fractional):
Tl: 0.1774 0.2526 0.3233 x8
Co: 0.0000 0.0000 0.0000 x2


# 11
Tl2Co3: calculated PXRD pattern (Cu Kα (weighted mean of Kα1 and Kα2)), based on the GGA-PBE geometry in Alexandria.
Neutral-atom scattering factors, no anomalous dispersion.

Principal peaks in the range 2θ = 10–90°, by intensity:
d 3.124, 2θ 28.6, intensity 100, (1 0 1); d 2.511, 2θ 35.8, intensity 94, (0 1 2); d 1.994, 2θ 45.5, intensity 79, (1 1 0); d 1.544, 2θ 59.9, intensity 39, (1 1 3); d 3.455, 2θ 25.8, intensity 31, (1 0 0); d 2.437, 2θ 36.9, intensity 27, (0 0 3)

Structure:
abc: 3.9890 3.9890 7.3116
angles: 90.00 90.00 120.00
Space group P-3m1 (No. 164)
Symmetry-distinct sites (fractional):
Tl: 0.3333 0.6667 0.1784 x2
Co: 0.0000 0.0000 0.5000 x1
Co: 0.3333 0.6667 0.5591 x2


# 12
Tm7TlCo5: calculated PXRD pattern (Cu Kα (weighted mean of Kα1 and Kα2)), based on the GGA-PBE geometry in Alexandria.
Neutral-atom scattering factors, no anomalous dispersion.

Principal peaks in the range 2θ = 10–90°, by intensity:
d 2.781, 2θ 32.2, intensity 100, (1 0 3); d 2.893, 2θ 30.9, intensity 73, (1 3 0); d 2.481, 2θ 36.2, intensity 55, (1 3 2); d 2.768, 2θ 32.3, intensity 50, (2 0 0); d 1.447, 2θ 64.4, intensity 43, (2 6 0); d 2.334, 2θ 38.6, intensity 43, (0 3 3)

Structure:
abc: 5.5369 10.1791 9.6461
angles: 90.00 90.00 90.00
Space group Imm2 (No. 44)
Symmetry-distinct sites (fractional):
Tm: 0.0000 0.0000 0.0000 x2
Tm: 0.0000 0.0000 0.3545 x2
Tm: 0.0000 0.3149 0.6232 x4
Tm: 0.0000 0.3397 0.0271 x4
Tm: 0.0000 0.5000 0.3233 x2
Tl: 0.0000 0.0000 0.6792 x2
Co: 0.0000 0.5000 0.8135 x2
Co: 0.2131 0.2688 0.3469 x8